Record 1
Ca2YHg5: simulated powder X-ray diffraction pattern (λ = 1.5418 Å (Cu Kα)), based on a crystal structure in Alexandria, relaxed with PBE.
No peak broadening, texture or thermal motion is included.

Main lines, low angle first (2θ = 10–90°):
two_theta, d [Å], intensity
23.8, 3.737, 16
33.9, 2.643, 52
34.3, 2.613, 100
48.7, 1.869, 19
60.9, 1.520, 38
61.7, 1.503, 18

Cell and atoms:
```
data_Ca2YHg5
_chemical_formula_sum 'Ca2 Y1 Hg5'
_symmetry_space_group_name_H-M 'P 1'
_symmetry_Int_Tables_number 1
_cell_length_a 8.2115
_cell_length_b 8.2115
_cell_length_c 8.2115
_cell_angle_alpha 142.45
_cell_angle_beta 142.45
_cell_angle_gamma 54.15
loop_
_symmetry_equiv_pos_as_xyz
'x,y,z'
loop_
_atom_site_label
_atom_site_fract_x
_atom_site_fract_y
_atom_site_fract_z
Ca1 0.2397 0.2397 0.0000
Ca2 0.7603 0.7603 0.0000
Y1 0.5000 0.5000 0.0000
Hg1 0.0000 0.0000 0.0000
Hg2 0.1227 0.6227 0.5000
Hg3 0.3773 0.8773 0.5000
Hg4 0.6227 0.1227 0.5000
Hg5 0.8773 0.3773 0.5000
```


Record 2
CaY2ZnHg4: simulated powder X-ray diffraction pattern (λ = 1.5418 Å (Cu Kα)), based on a crystal structure in Alexandria, relaxed with PBE.
No peak broadening, texture or thermal motion is included.

Main lines, low angle first (2θ = 10–90°):
two_theta, d [Å], intensity
24.4, 3.653, 51
34.6, 2.595, 100
34.9, 2.572, 100
49.9, 1.826, 35
62.4, 1.489, 36
62.6, 1.485, 18

Cell and atoms:
```
data_CaY2ZnHg4
_chemical_formula_sum 'Ca1 Y2 Zn1 Hg4'
_symmetry_space_group_name_H-M 'P 1'
_symmetry_Int_Tables_number 1
_cell_length_a 9.0150
_cell_length_b 9.0150
_cell_length_c 9.0150
_cell_angle_alpha 33.15
_cell_angle_beta 33.15
_cell_angle_gamma 33.15
loop_
_symmetry_equiv_pos_as_xyz
'x,y,z'
loop_
_atom_site_label
_atom_site_fract_x
_atom_site_fract_y
_atom_site_fract_z
Ca1 0.0000 0.0000 0.0000
Y1 0.2435 0.2435 0.2435
Y2 0.7565 0.7565 0.7565
Zn1 0.5000 0.5000 0.5000
Hg1 0.1235 0.1235 0.1235
Hg2 0.3736 0.3736 0.3736
Hg3 0.6264 0.6264 0.6264
Hg4 0.8765 0.8765 0.8765
```


Record 3
Ca2Zn5Hg5: simulated powder X-ray diffraction pattern (λ = 1.5418 Å (Cu Kα)), based on a crystal structure in Alexandria, relaxed with PBE.
No peak broadening, texture or thermal motion is included.

Main lines, low angle first (2θ = 10–90°):
two_theta, d [Å], intensity
18.7, 4.736, 42
36.5, 2.462, 100
38.2, 2.357, 19
42.4, 2.134, 30
61.7, 1.503, 15
65.7, 1.422, 21

Cell and atoms:
```
data_Ca2Zn5Hg5
_chemical_formula_sum 'Ca2 Zn5 Hg5'
_symmetry_space_group_name_H-M 'P 1'
_symmetry_Int_Tables_number 1
_cell_length_a 4.9230
_cell_length_b 5.3685
_cell_length_c 10.0611
_cell_angle_alpha 90.00
_cell_angle_beta 90.00
_cell_angle_gamma 90.00
loop_
_symmetry_equiv_pos_as_xyz
'x,y,z'
loop_
_atom_site_label
_atom_site_fract_x
_atom_site_fract_y
_atom_site_fract_z
Ca1 0.0000 0.0000 0.0000
Ca2 0.0000 0.5000 0.5000
Zn1 0.5000 0.0000 0.5000
Zn2 0.5000 0.2569 0.2709
Zn3 0.5000 0.2569 0.7291
Zn4 0.5000 0.7431 0.2709
Zn5 0.5000 0.7431 0.7291
Hg1 0.0000 0.0000 0.3316
Hg2 0.0000 0.0000 0.6684
Hg3 0.0000 0.5000 0.1785
Hg4 0.0000 0.5000 0.8215
Hg5 0.5000 0.5000 0.0000
```


Record 4
Ca6Zn5Hg: simulated powder X-ray diffraction pattern (λ = 1.5418 Å (Cu Kα)), based on a crystal structure in Alexandria, relaxed with PBE.
No peak broadening, texture or thermal motion is included.

Main lines, low angle first (2θ = 10–90°):
two_theta, d [Å], intensity
34.1, 2.629, 26
34.2, 2.621, 25
34.4, 2.610, 100
49.1, 1.856, 18
61.2, 1.514, 17
61.4, 1.511, 17

Cell and atoms:
```
data_Ca6Zn5Hg
_chemical_formula_sum 'Ca6 Zn5 Hg1'
_symmetry_space_group_name_H-M 'P 1'
_symmetry_Int_Tables_number 1
_cell_length_a 8.2905
_cell_length_b 8.2905
_cell_length_c 7.3405
_cell_angle_alpha 90.00
_cell_angle_beta 90.00
_cell_angle_gamma 143.02
loop_
_symmetry_equiv_pos_as_xyz
'x,y,z'
loop_
_atom_site_label
_atom_site_fract_x
_atom_site_fract_y
_atom_site_fract_z
Ca1 0.0000 0.0000 0.2469
Ca2 0.0000 0.0000 0.7531
Ca3 0.3321 0.6679 0.2478
Ca4 0.3321 0.6679 0.7522
Ca5 0.6679 0.3321 0.2478
Ca6 0.6679 0.3321 0.7522
Zn1 0.1659 0.8341 0.0000
Zn2 0.1681 0.8319 0.5000
Zn3 0.5000 0.5000 0.0000
Zn4 0.8319 0.1681 0.5000
Zn5 0.8341 0.1659 0.0000
Hg1 0.5000 0.5000 0.5000
```


Record 5
Ca2Zn2Hg: simulated powder X-ray diffraction pattern (λ = 1.5418 Å (Cu Kα)), based on a crystal structure in Alexandria, relaxed with PBE.
No peak broadening, texture or thermal motion is included.

Main lines, low angle first (2θ = 10–90°):
two_theta, d [Å], intensity
17.7, 5.024, 76
21.8, 4.068, 100
32.4, 2.762, 62
35.4, 2.537, 85
35.6, 2.525, 58
38.8, 2.323, 76

Cell and atoms:
```
data_Ca2Zn2Hg
_chemical_formula_sum 'Ca4 Zn4 Hg2'
_symmetry_space_group_name_H-M 'P 1'
_symmetry_Int_Tables_number 1
_cell_length_a 5.8031
_cell_length_b 5.8031
_cell_length_c 8.4512
_cell_angle_alpha 101.84
_cell_angle_beta 101.84
_cell_angle_gamma 60.73
loop_
_symmetry_equiv_pos_as_xyz
'x,y,z'
loop_
_atom_site_label
_atom_site_fract_x
_atom_site_fract_y
_atom_site_fract_z
Ca1 0.0111 0.2876 0.1493
Ca2 0.2876 0.0111 0.6493
Ca3 0.7124 0.9889 0.3507
Ca4 0.9889 0.7124 0.8507
Zn1 0.2226 0.5011 0.5019
Zn2 0.4989 0.7774 0.9981
Zn3 0.5011 0.2226 0.0019
Zn4 0.7774 0.4989 0.4981
Hg1 0.3370 0.6630 0.2500
Hg2 0.6630 0.3370 0.7500
```


Record 6
Ca2ZnHg8: simulated powder X-ray diffraction pattern (λ = 1.5418 Å (Cu Kα)), based on a crystal structure in Alexandria, relaxed with PBE.
No peak broadening, texture or thermal motion is included.

Main lines, low angle first (2θ = 10–90°):
two_theta, d [Å], intensity
30.3, 2.950, 30
34.5, 2.601, 100
37.9, 2.376, 55
53.6, 1.711, 24
54.6, 1.680, 19
66.2, 1.411, 31

Cell and atoms:
```
data_Ca2ZnHg8
_chemical_formula_sum 'Ca2 Zn1 Hg8'
_symmetry_space_group_name_H-M 'P 1'
_symmetry_Int_Tables_number 1
_cell_length_a 4.7520
_cell_length_b 4.7520
_cell_length_c 12.3239
_cell_angle_alpha 90.00
_cell_angle_beta 90.00
_cell_angle_gamma 90.00
loop_
_symmetry_equiv_pos_as_xyz
'x,y,z'
loop_
_atom_site_label
_atom_site_fract_x
_atom_site_fract_y
_atom_site_fract_z
Ca1 0.0000 0.0000 0.1925
Ca2 0.0000 0.0000 0.8075
Zn1 0.0000 0.0000 0.5000
Hg1 0.0000 0.5000 0.0000
Hg2 0.0000 0.5000 0.3728
Hg3 0.0000 0.5000 0.6272
Hg4 0.5000 0.0000 0.0000
Hg5 0.5000 0.0000 0.3728
Hg6 0.5000 0.0000 0.6272
Hg7 0.5000 0.5000 0.1966
Hg8 0.5000 0.5000 0.8034
```